This entry pairs a crystal structure of Li2Cr2SnO6 with its computed XRD peak list. Radiation: a wavelength of 1.5418 Å. Structure: a PBE+U-relaxed structure.
Lines closer than 0.1° are merged.

Cell and atoms:
```
Li2Cr2SnO6
1.0
4.614 -2.633 0.000
4.614 2.633 0.000
0.000 0.000 10.251
Li Cr Sn O
4 4 2 12
direct
0.152 0.348 0.250
0.348 0.152 0.750
0.652 0.848 0.250
0.848 0.652 0.750
0.164 0.164 0.000
0.336 0.336 0.500
0.664 0.664 0.500
0.836 0.836 0.000
0.000 0.000 0.500
0.500 0.500 0.000
0.009 0.343 0.607
0.157 0.491 0.893
0.162 0.838 0.099
0.338 0.662 0.599
0.343 0.009 0.393
0.491 0.157 0.107
0.509 0.843 0.893
0.657 0.991 0.607
0.662 0.338 0.401
0.838 0.162 0.901
0.843 0.509 0.107
0.991 0.657 0.393
```

Largest 8 diffraction maxima, most intense first, 2θ = 5–70°:
2θ 17.30, d = 5.126 Å, I 100
2θ 34.89, d = 2.571 Å, I 41
2θ 43.14, d = 2.097 Å, I 38
2θ 38.44, d = 2.342 Å, I 20
2θ 56.72, d = 1.623 Å, I 19
2θ 61.49, d = 1.508 Å, I 18
2θ 49.64, d = 1.836 Å, I 15
2θ 21.27, d = 4.177 Å, I 14